No. 1
Diffraction record for Ba2Li9In6. The PXRD pattern is theoretical, not measured: it uses a crystal structure in Alexandria, relaxed with GGA-PBE and CuKα.
Lines closer than 0.1° are merged.

Peak list (10 most intense, 10 to 90 degrees two-theta, by angle)
| hkl | 2theta | intensity |
| --- | --- | --- |
| 0 0 3 | 18.23 | 74 |
| 1 1 0 | 29.61 | 74 |
| 1 1 3 | 35.00 | 100 |
| 0 0 6 | 36.94 | 15 |
| 1 1 6 | 48.04 | 37 |
| 3 0 0 | 52.54 | 14 |
| 3 0 3 | 56.08 | 25 |
| 2 2 3 | 64.70 | 15 |
| 1 1 9 | 65.31 | 15 |
| 4 1 3 | 87.96 | 14 |

Crystal structure
a b c (Å): 6.0335 6.0335 14.5992
angles (deg): 90.00 90.00 120.00
Space group P6/mmm (No. 191)
Unique sites:
Ba1 0.0000 0.0000 0.1715 [2 per cell]
Li1 0.0000 0.5000 0.0000 [3 per cell]
Li2 0.0000 0.5000 0.3385 [6 per cell]
In1 0.3333 0.6667 0.1685 [4 per cell]
In2 0.3333 0.6667 0.5000 [2 per cell]

No. 2
Diffraction record for BaLiMgIn. The PXRD pattern is theoretical, not measured: it uses a crystal structure in Alexandria, relaxed with GGA-PBE and CuKα.
Lines closer than 0.1° are merged.

Peak list (10 most intense, 10 to 90 degrees two-theta, by angle)
| hkl | 2theta | intensity |
| --- | --- | --- |
| 2 0 0 | 23.29 | 74 |
| 2 2 0 | 33.17 | 100 |
| 2 2 2 | 40.92 | 22 |
| 4 0 0 | 47.61 | 18 |
| 4 2 0 | 53.65 | 30 |
| 4 2 2 | 59.25 | 37 |
| 4 4 0 | 69.61 | 11 |
| 6 0 0 | 74.52 | 14 |
| 6 2 0 | 79.31 | 16 |
| 6 2 2 | 84.03 | 9 |

Crystal structure
a b c (Å): 7.6400 7.6400 7.6400
angles (deg): 90.00 90.00 90.00
Space group F-43m (No. 216)
Unique sites:
Ba1 0.0000 0.0000 0.0000 [4 per cell]
Li1 0.2500 0.2500 0.2500 [4 per cell]
Mg1 0.2500 0.2500 0.7500 [4 per cell]
In1 0.0000 0.0000 0.5000 [4 per cell]